Computed XRD peak list of CdH7C5N3Cl2O3 for copper Kα, from a cell relaxed with PBE.
No peak broadening, texture or thermal motion is included.

Top 8 peaks for 5 to 70 degrees two-theta, sorted by position:
index	d [Å]	I_rel
0 0 1	9.641	51
0 1 0	6.984	100
0 1 -1	6.325	31
0 1 1	5.162	32
0 0 2	4.822	41
1 1 -2	3.520	31
1 0 2	3.493	21
2 -2 0	2.970	74

Crystal structure
```
data_CdH7C5N3Cl2O3
_cell_length_a 6.8480
_cell_length_b 7.6553
_cell_length_c 9.9523
_cell_angle_alpha 98.46
_cell_angle_beta 97.67
_cell_angle_gamma 111.05
_space_group_name_H-M_alt 'P 1'
_space_group_IT_number 1
_space_group_name_Hall 'P 1'
loop_
_atom_site_label
_atom_site_type_symbol
_atom_site_fract_x
_atom_site_fract_y
_atom_site_fract_z
Cd1 Cd 0.2305 0.0101 0.4241
Cd2 Cd 0.7695 0.9899 0.5759
H1 H 0.0813 0.3465 0.0756
H2 H 0.1660 0.4118 0.7461
H3 H 0.2228 0.5410 0.1957
H4 H 0.2528 0.0166 0.8746
H5 H 0.2941 0.5578 0.9865
H6 H 0.3572 0.5788 0.5686
H7 H 0.4601 0.2068 0.8324
H8 H 0.5399 0.7932 0.1676
H9 H 0.6428 0.4212 0.4314
H10 H 0.7059 0.4422 0.0135
H11 H 0.7472 0.9834 0.1254
H12 H 0.7772 0.4590 0.8043
H13 H 0.8340 0.5882 0.2539
H14 H 0.9187 0.6535 0.9244
C1 C 0.1589 0.9271 0.1020
C2 C 0.3054 0.5462 0.7743
C3 C 0.3470 0.1166 0.1425
C4 C 0.4106 0.6368 0.6796
C5 C 0.4501 0.2089 0.0410
C6 C 0.5499 0.7911 0.9590
C7 C 0.5894 0.3632 0.3204
C8 C 0.6530 0.8834 0.8575
C9 C 0.6946 0.4538 0.2257
C10 C 0.8411 0.0729 0.8980
N1 N 0.3752 0.6256 0.9100
N2 N 0.3868 0.1409 0.9051
N3 N 0.4197 0.1961 0.2762
N4 N 0.5803 0.8039 0.7238
N5 N 0.6132 0.8591 0.0949
N6 N 0.6248 0.3744 0.0900
Cl1 Cl 0.0008 0.2203 0.4445
Cl2 Cl 0.4471 0.7754 0.3743
Cl3 Cl 0.5529 0.2246 0.6257
Cl4 Cl 0.9992 0.7797 0.5555
O1 O 0.0661 0.8567 0.1945
O2 O 0.1071 0.8484 0.9733
O3 O 0.2161 0.4685 0.1044
O4 O 0.7839 0.5315 0.8956
O5 O 0.8929 0.1516 0.0267
O6 O 0.9339 0.1433 0.8055
```